Computed powder X-ray diffraction pattern
Compound: Li3V4O5F7
Radiation: Cu Kα X-rays
Structure: a structure optimized by DFT (GGA+U)

Cell and atoms:
```
19
Lattice="5.7710 0.0000 0.0000 -0.8120 5.7943 0.0000 -0.8293 -1.2168 5.9936" Properties=species:S:1:pos:R:3 pbc="T T T"
Li 0.0000 0.0000 0.0000
Li -0.2995 2.7379 1.3759
Li 2.7243 1.3286 1.1189
V 0.9798 -0.1994 3.1556
V 1.2218 2.8712 5.1160
V 2.9963 4.1996 2.9547
V 3.6422 1.2815 4.3462
O 0.9476 3.8427 3.4762
O 1.5739 1.1917 4.5456
O 2.8793 0.1266 2.7887
O 3.0140 3.3086 4.8037
O 5.1238 -0.1909 3.9706
F -0.9359 4.6449 1.7092
F -0.6302 2.0954 5.4854
F 0.7920 1.2629 1.8446
F 0.4076 4.3994 5.9756
F 2.3799 3.5259 1.0822
F 4.3710 1.4615 0.1196
F 4.0699 2.4182 2.7045
```

Principal peaks in the range 2θ from 10° to 80°, sorted by position:
- (0 0 1), 14.8°, d 5.994, intensity 100.0
- (0 1 -1), 19.3°, d 4.605, intensity 46.0
- (1 1 0), 24.0°, d 3.704, intensity 36.2
- (-1 1 1), 25.5°, d 3.493, intensity 24.2
- (0 1 -2), 30.8°, d 2.899, intensity 55.1
- (1 1 1), 31.2°, d 2.862, intensity 45.6
- (1 -2 0), 32.8°, d 2.726, intensity 92.3
- (3 0 -1), 48.3°, d 1.883, intensity 24.1
- (2 1 -3), 53.0°, d 1.727, intensity 22.2
- (1 -3 2), 53.4°, d 1.715, intensity 30.5
- (0 3 1), 53.6°, d 1.710, intensity 25.6
- (-3 2 1), 55.7°, d 1.651, intensity 21.8